Entry 1:
For BaSr2NpS6, a cell relaxed with PBE gives the simulated powder diffraction line list in this record (CuKα).
Neutral-atom scattering factors, no anomalous dispersion.

Principal peaks in the range 10° ≤ 2θ ≤ 90°, most intense first:
| 2θ/deg | I/Imax |
| --- | --- |
| 23.82 | 100 |
| 24.46 | 96 |
| 16.84 | 53 |
| 34.06 | 49 |
| 44.07 | 43 |
| 22.77 | 42 |
| 25.00 | 38 |
| 14.22 | 36 |

Atomic structure:
Unit cell a=7.129 b=7.812 c=12.344 alpha=90.00 beta=123.22 gamma=90.00
Positions (direct):
Ba1 0.000 0.000 0.000
Ba2 0.000 0.500 0.500
Sr1 0.206 0.070 0.730
Sr2 0.206 0.430 0.230
Sr3 0.794 0.570 0.770
Sr4 0.794 0.930 0.270
Np1 0.500 0.000 0.500
Np2 0.500 0.500 0.000
S1 0.161 0.166 0.454
S2 0.161 0.334 0.954
S3 0.247 0.731 0.403
S4 0.247 0.769 0.903
S5 0.418 0.083 0.278
S6 0.418 0.417 0.778
S7 0.582 0.583 0.222
S8 0.582 0.917 0.722
S9 0.753 0.231 0.097
S10 0.753 0.269 0.597
S11 0.839 0.666 0.046
S12 0.839 0.834 0.546

***

Entry 2:
For BaNp3Tl2S8, a cell relaxed with PBE gives the simulated powder diffraction line list in this record (CuKα).
Neutral-atom scattering factors, no anomalous dispersion.

Principal peaks in the range 10° ≤ 2θ ≤ 90°, most intense first:
| 2θ/deg | I/Imax |
| --- | --- |
| 24.75 | 100 |
| 40.76 | 55 |
| 44.29 | 51 |
| 23.28 | 50 |
| 25.45 | 49 |
| 29.74 | 44 |
| 26.36 | 37 |
| 37.62 | 34 |

Atomic structure:
Unit cell a=8.915 b=8.915 c=8.915 alpha=54.62 beta=54.62 gamma=54.62
Positions (direct):
Ba1 0.000 0.000 0.000
Np1 0.371 0.371 0.868
Np2 0.371 0.868 0.371
Np3 0.868 0.371 0.371
Tl1 0.372 0.372 0.372
Tl2 0.745 0.745 0.745
S1 0.118 0.118 0.566
S2 0.118 0.566 0.118
S3 0.140 0.140 0.140
S4 0.171 0.626 0.626
S5 0.566 0.118 0.118
S6 0.598 0.598 0.598
S7 0.626 0.171 0.626
S8 0.626 0.626 0.171

***

Entry 3:
For Ba2Np3Se8, a cell relaxed with PBE gives the simulated powder diffraction line list in this record (CuKα).
Neutral-atom scattering factors, no anomalous dispersion.

Principal peaks in the range 10° ≤ 2θ ≤ 90°, most intense first:
| 2θ/deg | I/Imax |
| --- | --- |
| 12.06 | 100 |
| 31.66 | 85 |
| 25.53 | 55 |
| 43.01 | 50 |
| 37.80 | 48 |
| 32.16 | 42 |
| 19.05 | 40 |
| 21.33 | 31 |

Atomic structure:
Unit cell a=8.837 b=8.837 c=7.259 alpha=106.46 beta=106.46 gamma=57.59
Positions (direct):
Ba1 0.230 0.230 0.167
Ba2 0.770 0.770 0.833
Np1 0.245 0.755 0.500
Np2 0.500 0.500 0.000
Np3 0.755 0.245 0.500
Se1 0.113 0.113 0.468
Se2 0.167 0.620 0.105
Se3 0.380 0.833 0.895
Se4 0.398 0.398 0.597
Se5 0.602 0.602 0.403
Se6 0.620 0.167 0.105
Se7 0.833 0.380 0.895
Se8 0.887 0.887 0.532

***

Entry 4:
For Ba2NpSe4, a cell relaxed with PBE gives the simulated powder diffraction line list in this record (CuKα).
Neutral-atom scattering factors, no anomalous dispersion.

Principal peaks in the range 10° ≤ 2θ ≤ 90°, most intense first:
| 2θ/deg | I/Imax |
| --- | --- |
| 23.57 | 100 |
| 32.76 | 79 |
| 12.89 | 73 |
| 30.44 | 71 |
| 23.35 | 69 |
| 41.71 | 58 |
| 29.69 | 54 |
| 39.91 | 39 |

Atomic structure:
Unit cell a=8.099 b=12.951 c=4.518 alpha=90.00 beta=90.00 gamma=90.00
Positions (direct):
Ba1 0.083 0.181 0.000
Ba2 0.417 0.681 0.000
Ba3 0.583 0.319 0.000
Ba4 0.917 0.819 0.000
Np1 0.000 0.500 0.500
Np2 0.500 0.000 0.500
Se1 0.131 0.699 0.500
Se2 0.215 0.449 0.000
Se3 0.285 0.949 0.000
Se4 0.369 0.199 0.500
Se5 0.631 0.801 0.500
Se6 0.715 0.051 0.000
Se7 0.785 0.551 0.000
Se8 0.869 0.301 0.500